Theoretical powder XRD pattern of Mn5Fe4O12 for Cu Kα, 1.54184 Å, from a cell relaxed with PBE+U.

Cell and atoms:
a = 6.0128 Å, b = 6.1180 Å, c = 14.8882 Å
α = 91.15°, β = 90.60°, γ = 119.30°
Space group P-1 (No. 2)
One atom of each set of equivalent atoms:
Mn  0.0000  0.0000  0.0000 (multiplicity 1)
Mn  0.0032  0.5023  0.1237 (multiplicity 2)
Mn  0.3319  0.1687  0.2069 (multiplicity 2)
Mn  0.3335  0.6657  0.3336 (multiplicity 2)
Mn  0.3372  0.1644  0.4595 (multiplicity 2)
Mn  0.5000  0.5000  0.0000 (multiplicity 1)
Fe  0.0000  0.5000  0.5000 (multiplicity 1)
Fe  0.1651  0.3327  0.6662 (multiplicity 2)
Fe  0.1649  0.8315  0.6654 (multiplicity 2)
Fe  0.3299  0.1580  0.8351 (multiplicity 2)
Fe  0.5000  0.0000  0.0000 (multiplicity 1)
O  0.0096  0.5016  0.2629 (multiplicity 2)
O  0.0288  0.0212  0.7432 (multiplicity 2)
O  0.1372  0.3369  0.4195 (multiplicity 2)
O  0.1525  0.7910  0.4154 (multiplicity 2)
O  0.1832  0.8689  0.9216 (multiplicity 2)
O  0.1888  0.3173  0.9239 (multiplicity 2)
O  0.2982  0.6416  0.5872 (multiplicity 2)
O  0.3195  0.1397  0.0700 (multiplicity 2)
O  0.3415  0.1676  0.5970 (multiplicity 2)
O  0.3705  0.6892  0.0726 (multiplicity 2)
O  0.4678  0.9991  0.7491 (multiplicity 2)
O  0.4833  0.4597  0.7483 (multiplicity 2)

Peak list (10 most intense, 10 to 80 degrees two-theta, by angle)
- (1 0 -1), d 4.973, 2θ = 17.84°, intensity 47
- (1 1 0), d 3.063, 2θ = 29.16°, intensity 63
- (1 1 -3), d 2.640, 2θ = 33.96°, intensity 78
- (1 -2 3), d 2.629, 2θ = 34.11°, intensity 69
- (-1 2 3), d 2.582, 2θ = 34.75°, intensity 100
- (-2 2 1), d 2.573, 2θ = 34.87°, intensity 95
- (1 0 5), d 2.563, 2θ = 35.01°, intensity 37
- (2 -1 3), d 2.559, 2θ = 35.06°, intensity 36
- (0 2 -4), d 2.198, 2θ = 41.07°, intensity 33
- (2 0 -8), d 1.534, 2θ = 60.34°, intensity 33

***

Theoretical powder XRD pattern of Mn2FeO6 for Cu Kα, 1.54184 Å, from a cell relaxed with PBE+U.

Cell and atoms:
a = 8.7929 Å, b = 5.0376 Å, c = 10.0803 Å
α = 90.00°, β = 90.00°, γ = 90.00°
Space group Cmce (No. 64)
One atom of each set of equivalent atoms:
Mn  0.1672  0.0000  0.0000 (multiplicity 8)
Fe  0.0000  0.0000  0.5000 (multiplicity 4)
O  0.0000  0.1708  0.0949 (multiplicity 8)
O  0.1673  0.1660  0.4047 (multiplicity 16)

Peak list (10 most intense, 10 to 80 degrees two-theta, by angle)
- (0 0 2), d 5.040, 2θ = 17.60°, intensity 100
- (0 2 0), d 2.519, 2θ = 35.64°, intensity 9
- (3 1 1), d 2.457, 2θ = 36.57°, intensity 23
- (3 1 2), d 2.264, 2θ = 39.82°, intensity 6
- (0 2 2), d 2.253, 2θ = 40.02°, intensity 12
- (3 1 3), d 2.023, 2θ = 44.80°, intensity 24
- (0 2 4), d 1.782, 2θ = 51.28°, intensity 10
- (3 1 5), d 1.578, 2θ = 58.51°, intensity 14
- (3 3 1), d 1.442, 2θ = 64.63°, intensity 13
- (3 1 7), d 1.252, 2θ = 76.02°, intensity 5

***

Theoretical powder XRD pattern of MnFeO3 for Cu Kα, 1.54184 Å, from a cell relaxed with PBE+U.

Cell and atoms:
a = 9.4361 Å, b = 9.4820 Å, c = 9.5214 Å
α = 90.00°, β = 90.00°, γ = 90.00°
Space group Ibca (No. 73)
One atom of each set of equivalent atoms:
Mn  0.0000  0.2500  0.0316 (multiplicity 8)
Mn  0.0333  0.0000  0.2500 (multiplicity 8)
Fe  0.2500  0.0403  0.5000 (multiplicity 8)
Fe  0.2500  0.2500  0.2500 (multiplicity 8)
O  0.1121  0.1169  0.6572 (multiplicity 16)
O  0.1180  0.1678  0.3897 (multiplicity 16)
O  0.1671  0.1069  0.1252 (multiplicity 16)

Peak list (10 most intense, 10 to 80 degrees two-theta, by angle)
- (1 2 1), d 3.873, 2θ = 22.96°, intensity 11
- (2 2 2), d 2.737, 2θ = 32.73°, intensity 100
- (3 2 3), d 2.021, 2θ = 44.85°, intensity 10
- (1 4 3), d 1.862, 2θ = 48.91°, intensity 6
- (0 4 4), d 1.680, 2θ = 54.64°, intensity 14
- (4 0 4), d 1.676, 2θ = 54.79°, intensity 15
- (4 4 0), d 1.672, 2θ = 54.91°, intensity 13
- (2 2 6), d 1.434, 2θ = 65.06°, intensity 8
- (2 6 2), d 1.429, 2θ = 65.28°, intensity 7
- (6 2 2), d 1.424, 2θ = 65.54°, intensity 8

***

Theoretical powder XRD pattern of Mn5Fe4O12 for Cu Kα, 1.54184 Å, from a cell relaxed with PBE+U.

Cell and atoms:
a = 6.0709 Å, b = 6.1011 Å, c = 13.5079 Å
α = 103.01°, β = 102.71°, γ = 90.49°
Space group P1 (No. 1)
One atom of each set of equivalent atoms:
Mn  0.0000  0.0000  0.0000 (multiplicity 1)
Mn  0.0044  0.4999  0.4998 (multiplicity 1)
Mn  0.1299  0.3720  0.2508 (multiplicity 1)
Mn  0.2059  0.9691  0.4240 (multiplicity 1)
Mn  0.3362  0.8385  0.6703 (multiplicity 1)
Mn  0.4591  0.7135  0.9203 (multiplicity 1)
Mn  0.5419  0.2856  0.0813 (multiplicity 1)
Mn  0.6644  0.6608  0.3313 (multiplicity 1)
Mn  0.7945  0.0328  0.5798 (multiplicity 1)
Mn  0.8726  0.6322  0.7473 (multiplicity 1)
Fe  0.0008  0.5003  0.9999 (multiplicity 1)
Fe  0.1672  0.1715  0.8311 (multiplicity 1)
Fe  0.3308  0.8360  0.1719 (multiplicity 1)
Fe  0.3381  0.3431  0.6686 (multiplicity 1)
Fe  0.5016  0.5045  0.5005 (multiplicity 1)
Fe  0.6662  0.1635  0.3346 (multiplicity 1)
Fe  0.6681  0.1707  0.8305 (multiplicity 1)
Fe  0.8355  0.8320  0.1695 (multiplicity 1)
O  0.0823  0.6018  0.1699 (multiplicity 1)
O  0.0874  0.0680  0.1771 (multiplicity 1)
O  0.1066  0.6104  0.6768 (multiplicity 1)
O  0.1171  0.0702  0.6735 (multiplicity 1)
O  0.2143  0.2307  0.9874 (multiplicity 1)
O  0.2270  0.7705  0.0137 (multiplicity 1)
O  0.2436  0.2891  0.5065 (multiplicity 1)
O  0.2507  0.7413  0.5155 (multiplicity 1)
O  0.4133  0.9373  0.8229 (multiplicity 1)
O  0.4212  0.3900  0.8339 (multiplicity 1)
O  0.4276  0.9289  0.3319 (multiplicity 1)
O  0.4409  0.4183  0.3298 (multiplicity 1)
O  0.5607  0.0719  0.6715 (multiplicity 1)
O  0.5701  0.6123  0.6701 (multiplicity 1)
O  0.5825  0.6134  0.1759 (multiplicity 1)
O  0.5887  0.0561  0.1764 (multiplicity 1)
O  0.7571  0.2757  0.4914 (multiplicity 1)
O  0.7567  0.7108  0.4848 (multiplicity 1)
O  0.7759  0.2304  0.9872 (multiplicity 1)
O  0.7843  0.7682  0.0132 (multiplicity 1)
O  0.8855  0.9013  0.3308 (multiplicity 1)
O  0.9062  0.3947  0.3251 (multiplicity 1)
O  0.9124  0.9332  0.8264 (multiplicity 1)
O  0.9165  0.4001  0.8269 (multiplicity 1)

Peak list (10 most intense, 10 to 80 degrees two-theta, by angle)
- (0 1 -2), d 4.957, 2θ = 17.89°, intensity 29
- (0 2 -1), d 3.046, 2θ = 29.32°, intensity 23
- (1 1 2), d 3.032, 2θ = 29.46°, intensity 32
- (-1 2 1), d 2.603, 2θ = 34.45°, intensity 57
- (-2 1 2), d 2.591, 2θ = 34.62°, intensity 55
- (0 1 -5), d 2.581, 2θ = 34.76°, intensity 100
- (1 0 -5), d 2.575, 2θ = 34.84°, intensity 20
- (3 2 -4), d 1.647, 2θ = 55.83°, intensity 20
- (2 -2 6), d 1.521, 2θ = 60.90°, intensity 18
- (4 0 -2), d 1.517, 2θ = 61.07°, intensity 35

***

Theoretical powder XRD pattern of MnFeO3 for Cu Kα, 1.54184 Å, from a cell relaxed with PBE+U.

Cell and atoms:
a = 4.9871 Å, b = 5.1103 Å, c = 5.3489 Å
α = 62.90°, β = 89.23°, γ = 62.54°
Space group P1 (No. 1)
One atom of each set of equivalent atoms:
Mn  0.0000  0.0000  0.0000 (multiplicity 1)
Mn  0.2920  0.4205  0.8869 (multiplicity 1)
Fe  0.4989  0.0052  0.4938 (multiplicity 1)
Fe  0.7980  0.4075  0.3981 (multiplicity 1)
O  0.0875  0.2184  0.1882 (multiplicity 1)
O  0.1900  0.2187  0.6920 (multiplicity 1)
O  0.4172  0.4967  0.1863 (multiplicity 1)
O  0.5670  0.5417  0.6643 (multiplicity 1)
O  0.7220  0.8740  0.2080 (multiplicity 1)
O  0.8796  0.9366  0.6853 (multiplicity 1)

Peak list (10 most intense, 10 to 80 degrees two-theta, by angle)
- (1 1 1), d 3.655, 2θ = 24.36°, intensity 43
- (1 0 1), d 2.810, 2θ = 31.84°, intensity 100
- (1 1 -1), d 2.703, 2θ = 33.14°, intensity 81
- (0 1 2), d 2.662, 2θ = 33.67°, intensity 68
- (-1 1 1), d 2.613, 2θ = 34.32°, intensity 89
- (1 2 1), d 2.549, 2θ = 35.21°, intensity 67
- (2 1 0), d 2.491, 2θ = 36.06°, intensity 62
- (0 2 0), d 1.955, 2θ = 46.44°, intensity 41
- (2 1 -2), d 1.666, 2θ = 55.14°, intensity 53
- (0 3 2), d 1.508, 2θ = 61.51°, intensity 50

***

Theoretical powder XRD pattern of MnFeP2O8 for Cu Kα, 1.54184 Å, from a cell relaxed with PBE+U.

Cell and atoms:
a = 4.8855 Å, b = 5.9623 Å, c = 9.8979 Å
α = 90.00°, β = 90.82°, γ = 90.00°
Space group P2_1/m (No. 11)
One atom of each set of equivalent atoms:
Mn  0.0724  0.2500  0.2168 (multiplicity 2)
Fe  0.4476  0.2500  0.7214 (multiplicity 2)
P  0.0946  0.7500  0.0956 (multiplicity 2)
P  0.4009  0.7500  0.5991 (multiplicity 2)
O  0.1530  0.7500  0.9433 (multiplicity 2)
O  0.2116  0.2500  0.8794 (multiplicity 2)
O  0.2491  0.5503  0.1681 (multiplicity 4)
O  0.2614  0.5455  0.6700 (multiplicity 4)
O  0.2843  0.2500  0.3778 (multiplicity 2)
O  0.3494  0.7500  0.4463 (multiplicity 2)

Peak list (10 most intense, 10 to 80 degrees two-theta, by angle)
- (0 0 2), d 4.948, 2θ = 17.93°, intensity 73
- (1 0 -1), d 4.406, 2θ = 20.16°, intensity 58
- (1 0 1), d 4.356, 2θ = 20.39°, intensity 46
- (1 1 -1), d 3.543, 2θ = 25.13°, intensity 40
- (1 1 1), d 3.517, 2θ = 25.32°, intensity 42
- (0 2 0), d 2.982, 2θ = 29.96°, intensity 100
- (1 1 -3), d 2.499, 2θ = 35.94°, intensity 42
- (1 1 3), d 2.471, 2θ = 36.36°, intensity 67
- (0 1 6), d 1.590, 2θ = 58.02°, intensity 22
- (0 4 0), d 1.491, 2θ = 62.28°, intensity 25

***

Theoretical powder XRD pattern of MnFeP2O8 for Cu Kα, 1.54184 Å, from a cell relaxed with PBE+U.

Cell and atoms:
a = 6.0025 Å, b = 9.9203 Å, c = 4.8990 Å
α = 90.00°, β = 90.00°, γ = 90.00°
Space group Pmn2_1 (No. 31)
One atom of each set of equivalent atoms:
Mn  0.0000  0.0380  0.0000 (multiplicity 2)
Fe  0.0000  0.5256  0.3841 (multiplicity 2)
P  0.0000  0.3481  0.8344 (multiplicity 2)
P  0.0000  0.8504  0.5151 (multiplicity 2)
O  0.0000  0.1963  0.7725 (multiplicity 2)
O  0.0000  0.3720  0.1422 (multiplicity 2)
O  0.0000  0.6977  0.5639 (multiplicity 2)
O  0.0000  0.8745  0.2039 (multiplicity 2)
O  0.2002  0.4214  0.6874 (multiplicity 4)
O  0.2012  0.9196  0.6610 (multiplicity 4)

Peak list (10 most intense, 10 to 80 degrees two-theta, by angle)
- (0 2 0), d 4.960, 2θ = 17.88°, intensity 69
- (0 1 1), d 4.393, 2θ = 20.22°, intensity 100
- (1 1 1), d 3.545, 2θ = 25.12°, intensity 75
- (1 2 1), d 3.014, 2θ = 29.64°, intensity 28
- (2 0 0), d 3.001, 2θ = 29.77°, intensity 76
- (1 3 1), d 2.493, 2θ = 36.02°, intensity 78
- (2 1 1), d 2.478, 2θ = 36.25°, intensity 35
- (0 1 2), d 2.378, 2θ = 37.83°, intensity 20
- (0 4 1), d 2.212, 2θ = 40.79°, intensity 25
- (4 0 0), d 1.501, 2θ = 61.80°, intensity 29

***

Theoretical powder XRD pattern of MnFe3P4O16 for Cu Kα, 1.54184 Å, from a cell relaxed with PBE+U.

Cell and atoms:
a = 11.8812 Å, b = 4.8842 Å, c = 9.9399 Å
α = 90.00°, β = 90.00°, γ = 90.00°
Space group Pmn2_1 (No. 31)
One atom of each set of equivalent atoms:
Mn  0.0000  0.1775  0.0000 (multiplicity 2)
Fe  0.0000  0.7919  0.5097 (multiplicity 2)
Fe  0.2490  0.7042  0.0612 (multiplicity 4)
P  0.0000  0.3404  0.6890 (multiplicity 2)
P  0.0000  0.6572  0.1845 (multiplicity 2)
P  0.2475  0.8452  0.3810 (multiplicity 4)
O  0.0000  0.0320  0.6652 (multiplicity 2)
O  0.0000  0.4011  0.8410 (multiplicity 2)
O  0.0000  0.6083  0.3367 (multiplicity 2)
O  0.0000  0.9712  0.1613 (multiplicity 2)
O  0.1010  0.4893  0.6165 (multiplicity 4)
O  0.1025  0.5159  0.1140 (multiplicity 4)
O  0.1470  0.9929  0.4550 (multiplicity 4)
O  0.1517  0.0034  0.9543 (multiplicity 4)
O  0.2483  0.5378  0.4071 (multiplicity 4)
O  0.2504  0.0950  0.7304 (multiplicity 4)

Peak list (10 most intense, 10 to 80 degrees two-theta, by angle)
- (0 0 2), d 4.970, 2θ = 17.85°, intensity 76
- (0 1 1), d 4.384, 2θ = 20.26°, intensity 100
- (2 0 2), d 3.812, 2θ = 23.34°, intensity 22
- (2 1 1), d 3.527, 2θ = 25.25°, intensity 87
- (2 1 2), d 3.005, 2θ = 29.73°, intensity 28
- (4 0 0), d 2.970, 2θ = 30.09°, intensity 80
- (2 1 3), d 2.490, 2θ = 36.08°, intensity 94
- (4 1 1), d 2.459, 2θ = 36.54°, intensity 35
- (4 2 2), d 1.764, 2θ = 51.84°, intensity 22
- (6 1 3), d 1.605, 2θ = 57.40°, intensity 24